[1]
Starting from a DFT-relaxed cell (GGA-PBE, Alexandria), the XRD peak list of SiTcRuC was computed for λ = 1.5418 Å (Cu Kα).
Peak positions follow from Bragg's law for the DFT cell and can differ from measured ones.

Most intense lines, 10 to 90 degrees two-theta, in order of rising 2θ:
2θ = 13.0°, I = 26
2θ = 26.1°, I = 59
2θ = 37.1°, I = 91
2θ = 37.9°, I = 92
2θ = 39.6°, I = 32
2θ = 43.2°, I = 54
2θ = 48.6°, I = 100
2θ = 51.8°, I = 44
2θ = 66.3°, I = 40
2θ = 80.1°, I = 24

Structural model:
abc: 2.8179 2.8179 20.4585
angles: 90.00 90.00 120.00
Space group R3m (No. 160, hexagonal axes)
Asymmetric unit:
Si1 0.0000 0.0000 0.0000 (multiplicity 3)
Tc1 0.0000 0.0000 0.5678 (multiplicity 3)
Ru1 0.0000 0.0000 0.4308 (multiplicity 3)
C1 0.0000 0.0000 0.8335 (multiplicity 3)



[2]
Starting from a DFT-relaxed cell (GGA-PBE, Alexandria), the XRD peak list of Fe4Ir12Ru3 was computed for λ = 1.5418 Å (Cu Kα).
Peak positions follow from Bragg's law for the DFT cell and can differ from measured ones.

Most intense lines, 10 to 90 degrees two-theta, in order of rising 2θ:
2θ = 13.7°, I = 100
2θ = 23.8°, I = 27
2θ = 30.9°, I = 14
2θ = 36.8°, I = 41
2θ = 39.4°, I = 18
2θ = 41.9°, I = 22
2θ = 44.3°, I = 60
2θ = 48.8°, I = 34
2θ = 50.9°, I = 26
2θ = 78.2°, I = 19

Structural model:
abc: 9.1441 9.1441 9.1441
angles: 90.00 90.00 90.00
Space group Im-3 (No. 204)
Asymmetric unit:
Fe1 0.2500 0.2500 0.2500 (multiplicity 8)
Ir1 0.0000 0.2634 0.3598 (multiplicity 24)
Ru1 0.0000 0.0000 0.5000 (multiplicity 6)



[3]
Starting from a DFT-relaxed cell (GGA-PBE, Alexandria), the XRD peak list of Np4TcP5 was computed for λ = 1.5418 Å (Cu Kα).
Peak positions follow from Bragg's law for the DFT cell and can differ from measured ones.

Most intense lines, 10 to 90 degrees two-theta, in order of rising 2θ:
2θ = 28.1°, I = 97
2θ = 29.8°, I = 20
2θ = 29.9°, I = 18
2θ = 33.1°, I = 100
2θ = 43.5°, I = 25
2θ = 46.3°, I = 49
2θ = 48.7°, I = 17
2θ = 56.1°, I = 23
2θ = 58.1°, I = 24
2θ = 77.4°, I = 19

Structural model:
abc: 3.9201 3.9201 44.8041
angles: 90.00 90.00 120.00
Space group R-3m (No. 166, hexagonal axes)
Asymmetric unit:
Np1 0.0000 0.0000 0.1104 (multiplicity 6)
Np2 0.0000 0.0000 0.2968 (multiplicity 6)
Tc1 0.0000 0.0000 0.5000 (multiplicity 3)
P1 0.0000 0.0000 0.0000 (multiplicity 3)
P2 0.0000 0.0000 0.1892 (multiplicity 6)
P3 0.0000 0.0000 0.4063 (multiplicity 6)



[4]
Starting from a DFT-relaxed cell (GGA-PBE, Alexandria), the XRD peak list of GeAu was computed for λ = 1.5418 Å (Cu Kα).
Peak positions follow from Bragg's law for the DFT cell and can differ from measured ones.

Most intense lines, 10 to 90 degrees two-theta, in order of rising 2θ:
2θ = 16.0°, I = 43
2θ = 27.8°, I = 46
2θ = 28.9°, I = 100
2θ = 32.8°, I = 97
2θ = 33.3°, I = 35
2θ = 35.5°, I = 82
2θ = 36.7°, I = 63
2θ = 40.6°, I = 60
2θ = 45.7°, I = 41
2θ = 46.1°, I = 48

Structural model:
abc: 11.3796 5.5411 3.9364
angles: 90.00 90.00 90.00
Space group Pmn2_1 (No. 31)
Asymmetric unit:
Ge1 0.0000 0.2106 0.0000 (multiplicity 2)
Ge2 0.2234 0.6264 0.1607 (multiplicity 4)
Au1 0.0000 0.6713 0.1592 (multiplicity 2)
Au2 0.1403 0.0278 0.5152 (multiplicity 4)



[5]
Starting from a DFT-relaxed cell (GGA-PBE, Alexandria), the XRD peak list of Pa3Fe3Sb4 was computed for λ = 1.5418 Å (Cu Kα).
Peak positions follow from Bragg's law for the DFT cell and can differ from measured ones.

Most intense lines, 10 to 90 degrees two-theta, in order of rising 2θ:
2θ = 23.2°, I = 17
2θ = 30.1°, I = 70
2θ = 35.8°, I = 100
2θ = 43.1°, I = 43
2θ = 45.3°, I = 16
2θ = 47.5°, I = 15
2θ = 60.9°, I = 27
2θ = 62.6°, I = 12
2θ = 64.3°, I = 12
2θ = 74.3°, I = 18

Structural model:
abc: 9.3832 9.3832 9.3832
angles: 90.00 90.00 90.00
Space group I-43d (No. 220)
Asymmetric unit:
Pa1 0.0000 0.2500 0.8750 (multiplicity 12)
Fe1 0.0000 0.2500 0.3750 (multiplicity 12)
Sb1 0.0822 0.4178 0.5822 (multiplicity 16)



[6]
Starting from a DFT-relaxed cell (GGA-PBE, Alexandria), the XRD peak list of Sn3PtS8 was computed for λ = 1.5418 Å (Cu Kα).
Peak positions follow from Bragg's law for the DFT cell and can differ from measured ones.

Most intense lines, 10 to 90 degrees two-theta, in order of rising 2θ:
2θ = 13.3°, I = 100
2θ = 28.5°, I = 37
2θ = 29.5°, I = 10
2θ = 33.4°, I = 37
2θ = 33.5°, I = 18
2θ = 36.2°, I = 10
2θ = 42.5°, I = 14
2θ = 46.3°, I = 13
2θ = 49.8°, I = 18
2θ = 51.7°, I = 13

Structural model:
abc: 12.6956 7.3294 7.9308
angles: 90.00 122.64 90.00
Space group C2/m (No. 12)
Asymmetric unit:
Sn1 0.0000 0.0000 0.0000 (multiplicity 2)
Sn2 0.2500 0.2500 0.0000 (multiplicity 4)
Pt1 0.0000 0.5000 0.0000 (multiplicity 2)
S1 0.0078 0.2664 0.7921 (multiplicity 8)
S2 0.2258 0.5000 0.2080 (multiplicity 4)
S3 0.2423 0.0000 0.2246 (multiplicity 4)



[7]
Starting from a DFT-relaxed cell (GGA-PBE, Alexandria), the XRD peak list of Hf3SeS5 was computed for λ = 1.5418 Å (Cu Kα).
Peak positions follow from Bragg's law for the DFT cell and can differ from measured ones.

Most intense lines, 10 to 90 degrees two-theta, in order of rising 2θ:
2θ = 20.3°, I = 72
2θ = 20.7°, I = 94
2θ = 28.0°, I = 100
2θ = 29.1°, I = 24
2θ = 40.6°, I = 69
2θ = 41.1°, I = 58
2θ = 41.2°, I = 19
2θ = 42.1°, I = 20
2θ = 50.9°, I = 50
2θ = 60.3°, I = 19

Structural model:
abc: 11.5135 8.5831 9.5219
angles: 90.00 116.62 90.00
Space group C2/m (No. 12)
Asymmetric unit:
Hf1 0.0000 0.0000 0.0000 (multiplicity 2)
Hf2 0.0000 0.0000 0.5000 (multiplicity 2)
Hf3 0.1566 0.5000 0.1717 (multiplicity 4)
Hf4 0.1679 0.5000 0.6653 (multiplicity 4)
Se1 0.1062 0.0000 0.8044 (multiplicity 4)
S1 0.0000 0.3033 0.5000 (multiplicity 4)
S2 0.0731 0.5000 0.8742 (multiplicity 4)
S3 0.1656 0.1973 0.1705 (multiplicity 8)
S4 0.2313 0.0000 0.5326 (multiplicity 4)



[8]
Starting from a DFT-relaxed cell (GGA-PBE, Alexandria), the XRD peak list of Rb2TcOF5 was computed for λ = 1.5418 Å (Cu Kα).
Peak positions follow from Bragg's law for the DFT cell and can differ from measured ones.

Most intense lines, 10 to 90 degrees two-theta, in order of rising 2θ:
2θ = 17.5°, I = 95
2θ = 27.6°, I = 57
2θ = 29.3°, I = 100
2θ = 32.8°, I = 22
2θ = 35.4°, I = 35
2θ = 39.4°, I = 54
2θ = 44.4°, I = 18
2θ = 49.8°, I = 42
2θ = 53.1°, I = 17
2θ = 60.8°, I = 25

Structural model:
abc: 6.4751 6.4751 8.1541
angles: 90.00 90.00 90.00
Space group I4mm (No. 107)
Asymmetric unit:
Rb1 0.0000 0.5000 0.0000 (multiplicity 4)
Tc1 0.0000 0.0000 0.2324 (multiplicity 2)
O1 0.0000 0.0000 0.0256 (multiplicity 2)
F1 0.0000 0.0000 0.4733 (multiplicity 2)
F2 0.2180 0.2180 0.2586 (multiplicity 8)



[9]
Starting from a DFT-relaxed cell (GGA-PBE, Alexandria), the XRD peak list of Li4PuIn5 was computed for λ = 1.5418 Å (Cu Kα).
Peak positions follow from Bragg's law for the DFT cell and can differ from measured ones.

Most intense lines, 10 to 90 degrees two-theta, in order of rising 2θ:
2θ = 10.2°, I = 40
2θ = 24.4°, I = 30
2θ = 26.0°, I = 28
2θ = 30.9°, I = 32
2θ = 31.7°, I = 46
2θ = 35.3°, I = 85
2θ = 36.8°, I = 100
2θ = 38.1°, I = 70
2θ = 48.8°, I = 58
2θ = 63.5°, I = 32

Structural model:
abc: 3.2317 3.7324 17.3475
angles: 90.00 90.00 90.00
Space group Pmmm (No. 47)
Asymmetric unit:
Li1 0.0000 0.0000 0.0941 (multiplicity 2)
Li2 0.0000 0.0000 0.2793 (multiplicity 2)
Pu1 0.0000 0.0000 0.5000 (multiplicity 1)
In1 0.5000 0.5000 0.0000 (multiplicity 1)
In2 0.5000 0.5000 0.1871 (multiplicity 2)
In3 0.5000 0.5000 0.3721 (multiplicity 2)



[10]
Starting from a DFT-relaxed cell (GGA-PBE, Alexandria), the XRD peak list of GaMoBr was computed for λ = 1.5418 Å (Cu Kα).
Peak positions follow from Bragg's law for the DFT cell and can differ from measured ones.

Most intense lines, 10 to 90 degrees two-theta, in order of rising 2θ:
2θ = 29.0°, I = 81
2θ = 29.5°, I = 81
2θ = 30.3°, I = 72
2θ = 30.8°, I = 88
2θ = 38.8°, I = 92
2θ = 40.5°, I = 64
2θ = 40.8°, I = 100
2θ = 41.4°, I = 65
2θ = 43.0°, I = 80
2θ = 44.1°, I = 80

Structural model:
abc: 3.3622 4.8465 9.7433
angles: 76.81 87.93 69.71
Space group P-1 (No. 2)
Asymmetric unit:
Ga1 0.0702 0.3302 0.1420 (multiplicity 2)
Mo1 0.3447 0.7979 0.0627 (multiplicity 2)
Br1 0.2924 0.8459 0.3279 (multiplicity 2)



[11]
Starting from a DFT-relaxed cell (GGA-PBE, Alexandria), the XRD peak list of Tl4GeCl6 was computed for λ = 1.5418 Å (Cu Kα).
Peak positions follow from Bragg's law for the DFT cell and can differ from measured ones.

Most intense lines, 10 to 90 degrees two-theta, in order of rising 2θ:
2θ = 18.1°, I = 40
2θ = 21.6°, I = 74
2θ = 22.4°, I = 100
2θ = 23.2°, I = 37
2θ = 24.0°, I = 89
2θ = 26.2°, I = 89
2θ = 30.5°, I = 35
2θ = 36.6°, I = 40
2θ = 37.0°, I = 45
2θ = 45.9°, I = 37

Structural model:
abc: 14.8088 6.7971 15.8157
angles: 90.00 100.04 90.00
Space group Cc (No. 9)
Asymmetric unit:
Tl1 0.0000 0.2079 0.0000 (multiplicity 4)
Tl2 0.1797 0.2360 0.7733 (multiplicity 4)
Tl3 0.1798 0.2561 0.4792 (multiplicity 4)
Tl4 0.3451 0.2533 0.1499 (multiplicity 4)
Ge1 0.0185 0.2560 0.2195 (multiplicity 4)
Cl1 0.0394 0.1803 0.5929 (multiplicity 4)
Cl2 0.1914 0.2575 0.2709 (multiplicity 4)
Cl3 0.1951 0.2317 0.9840 (multiplicity 4)
Cl4 0.3282 0.2546 0.6396 (multiplicity 4)
Cl5 0.4922 0.4855 0.8170 (multiplicity 4)
Cl6 0.4935 0.0127 0.3101 (multiplicity 4)



[12]
Starting from a DFT-relaxed cell (GGA-PBE, Alexandria), the XRD peak list of Tb5Sn18Rh6 was computed for λ = 1.5418 Å (Cu Kα).
Peak positions follow from Bragg's law for the DFT cell and can differ from measured ones.

Most intense lines, 10 to 90 degrees two-theta, in order of rising 2θ:
2θ = 31.3°, I = 18
2θ = 33.2°, I = 100
2θ = 36.3°, I = 39
2θ = 38.0°, I = 17
2θ = 38.5°, I = 18
2θ = 42.8°, I = 33
2θ = 55.6°, I = 30
2θ = 65.2°, I = 21
2θ = 66.4°, I = 15
2θ = 81.2°, I = 11

Structural model:
abc: 14.0148 14.0148 14.0148
angles: 90.00 90.00 90.00
Space group F-43m (No. 216)
Asymmetric unit:
Tb1 0.0000 0.0000 0.0000 (multiplicity 4)
Tb2 0.1304 0.1304 0.6304 (multiplicity 16)
Sn1 0.0105 0.1748 0.1748 (multiplicity 48)
Sn2 0.0867 0.0867 0.4133 (multiplicity 16)
Sn3 0.2500 0.2500 0.2500 (multiplicity 4)
Sn4 0.2500 0.2500 0.7500 (multiplicity 4)
Rh1 0.0000 0.0000 0.2551 (multiplicity 24)